Structure and simulated PXRD pattern of K2Au3S3 (a cell relaxed with GGA-PBE; Cu Kα, 1.54184 Å).
Neutral-atom scattering factors, no anomalous dispersion.

```
data_K2Au3S3
_chemical_formula_sum 'K4 Au6 S6'
_space_group_name_H-M_alt 'C 1 2 1'
_space_group_IT_number 5
_cell_length_a 7.769
_cell_length_b 8.216
_cell_length_c 7.947
_cell_angle_alpha 90.00
_cell_angle_beta 93.23
_cell_angle_gamma 90.00
loop_
_space_group_symop_operation_xyz
'x,y,z'
'-x,y,-z'
'x+1/2,y+1/2,z'
'-x+1/2,y+1/2,-z'
loop_
_atom_site_label
_atom_site_fract_x
_atom_site_fract_y
_atom_site_fract_z
K1 0.158 0.000 0.246
Au1 0.000 0.365 0.000
Au2 0.132 0.539 0.321
S1 0.000 0.712 0.500
S2 0.230 0.866 0.858
```

Peak list (10 most intense, 5° ≤ 2θ ≤ 70°, by angle)
- 5.640 Å, rel. 100, hkl 1 1 0
- 4.689 Å, rel. 47, hkl 1 1 -1
- 4.511 Å, rel. 49, hkl 1 1 1
- 4.108 Å, rel. 29, hkl 0 2 0
- 3.648 Å, rel. 41, hkl 0 2 1
- 3.564 Å, rel. 44, hkl 2 0 -1
- 2.854 Å, rel. 34, hkl 0 2 2
- 2.695 Å, rel. 51, hkl 2 0 2
- 2.624 Å, rel. 33, hkl 2 2 1
- 2.183 Å, rel. 34, hkl 1 3 -2